No. 1
Computed powder XRD pattern
Compound: Ti2MnIn
Radiation: Cu Kα, 1.54184 Å
Structure: a cell relaxed with GGA-PBE

Peak list (10 most intense, 10 to 90 degrees two-theta, sorted by position)
index, 2θ (°), intensity
1 1 1, 24.3, 16.9
2 0 0, 28.1, 6.7
2 2 0, 40.2, 100.0
3 1 1, 47.5, 8.8
4 0 0, 58.1, 15.7
3 3 1, 63.9, 3.6
4 2 0, 65.8, 2.5
4 2 2, 73.0, 30.4
5 1 1, 78.2, 2.8
4 4 0, 86.8, 9.6

Atomic structure:
```
data_Ti2MnIn
_chemical_formula_sum 'Ti8 Mn4 In4'
_space_group_name_H-M_alt 'F -4 3 m'
_space_group_IT_number 216
_space_group_name_Hall 'F -4 2 3'
_cell_length_a 6.3485
_cell_length_b 6.3485
_cell_length_c 6.3485
_cell_angle_alpha 90.00
_cell_angle_beta 90.00
_cell_angle_gamma 90.00
loop_
_atom_site_label
_atom_site_fract_x
_atom_site_fract_y
_atom_site_fract_z
Ti1 0.0000 0.0000 0.0000
Ti2 0.2500 0.2500 0.2500
Mn1 0.2500 0.2500 0.7500
In1 0.0000 0.0000 0.5000
```

No. 2
Computed powder XRD pattern
Compound: MnIn2W
Radiation: Cu Kα, 1.54184 Å
Structure: a cell relaxed with GGA-PBE

Peak list (10 most intense, 10 to 90 degrees two-theta, sorted by position)
index, 2θ (°), intensity
1 1 1, 23.3, 8.3
2 0 0, 26.9, 8.8
2 2 0, 38.5, 100.0
3 1 1, 45.4, 4.5
2 2 2, 47.6, 2.7
4 0 0, 55.5, 16.8
3 3 1, 61.0, 2.0
4 2 0, 62.8, 3.7
4 2 2, 69.6, 33.7
4 4 0, 82.4, 10.6

Atomic structure:
```
data_MnIn2W
_chemical_formula_sum 'Mn4 In8 W4'
_space_group_name_H-M_alt 'F -4 3 m'
_space_group_IT_number 216
_space_group_name_Hall 'F -4 2 3'
_cell_length_a 6.6205
_cell_length_b 6.6205
_cell_length_c 6.6205
_cell_angle_alpha 90.00
_cell_angle_beta 90.00
_cell_angle_gamma 90.00
loop_
_atom_site_label
_atom_site_fract_x
_atom_site_fract_y
_atom_site_fract_z
Mn1 0.0000 0.0000 0.0000
In1 0.0000 0.0000 0.5000
In2 0.2500 0.2500 0.2500
W1 0.2500 0.2500 0.7500
```

No. 3
Computed powder XRD pattern
Compound: InMo12PbS16
Radiation: Cu Kα, 1.54184 Å
Structure: a cell relaxed with GGA-PBE

Peak list (10 most intense, 10 to 90 degrees two-theta, sorted by position)
index, 2θ (°), intensity
0 1 2, 13.4, 88.6
1 0 4, 18.9, 72.2
1 1 0, 19.2, 63.8
1 2 2, 30.5, 95.3
2 1 4, 33.4, 63.2
1 0 10, 40.7, 64.6
3 1 2, 41.3, 81.1
3 -2 8, 43.3, 68.3
4 -3 4, 43.6, 39.1
2 2 6, 45.7, 100.0

Atomic structure:
```
data_InMo12PbS16
_chemical_formula_sum 'In3 Mo36 Pb3 S48'
_space_group_name_H-M_alt 'R -3'
_space_group_IT_number 148
_space_group_name_Hall '-R 3'
_cell_length_a 9.2660
_cell_length_b 9.2660
_cell_length_c 23.0856
_cell_angle_alpha 90.00
_cell_angle_beta 90.00
_cell_angle_gamma 120.00
loop_
_atom_site_label
_atom_site_fract_x
_atom_site_fract_y
_atom_site_fract_z
In1 0.0000 0.0000 0.0000
Mo1 0.0143 0.1762 0.2998
Mo2 0.0152 0.1757 0.7998
Pb1 0.0000 0.0000 0.5000
S1 0.0000 0.0000 0.1212
S2 0.0000 0.0000 0.3783
S3 0.0100 0.3766 0.8748
S4 0.0108 0.3777 0.3748
```